The following is a simulated XRD peak list of MnNbNi. It was derived from a DFT-relaxed cell (PBE, Alexandria), using Cu Ka.

Cell and atoms:
```
data_MnNbNi
_cell_length_a 4.6797
_cell_length_b 4.8290
_cell_length_c 6.9719
_cell_angle_alpha 90.00
_cell_angle_beta 90.00
_cell_angle_gamma 90.00
_symmetry_space_group_name_H-M 'I m m a'
_symmetry_Int_Tables_number 74
_symmetry_space_group_name_Hall '-I 2b 2'
loop_
_atom_site_label
_atom_site_type_symbol
_atom_site_fract_x
_atom_site_fract_y
_atom_site_fract_z
Mn1 Mn 0.2500 0.2500 0.2500
Nb1 Nb 0.0000 0.2500 0.6226
Ni1 Ni 0.0000 0.0000 0.0000
```

Main lines, most intense first (2θ from 15° to 90°):
| 2theta | d/Å | Rel. int. | hkl |
| --- | --- | --- | --- |
| 37.2 | 2.419 | 100 | 1 1 2 |
| 44.2 | 2.051 | 99 | 1 2 1 |
| 45.0 | 2.016 | 78 | 2 1 1 |
| 43.5 | 2.081 | 49 | 1 0 3 |
| 43.2 | 2.094 | 47 | 0 1 3 |
| 79.2 | 1.210 | 42 | 2 2 4 |
| 46.8 | 1.943 | 35 | 2 0 2 |
| 45.7 | 1.985 | 34 | 0 2 2 |
| 38.5 | 2.340 | 23 | 2 0 0 |
| 73.6 | 1.288 | 20 | 3 2 1 |